1.
Diffraction record for CeCd3In. The powder XRD pattern is theoretical, not measured: it uses a DFT-relaxed cell (GGA-PBE, Alexandria) and Cu Kα (λ = 1.5418 Å).
Peak positions follow from Bragg's law for the DFT cell and can differ from measured ones.

Principal peaks in the range 2θ = 5–70°, most intense first:
2θ/deg, d_spacing, I/Imax
36.60, 2.455, 100
20.42, 4.349, 92
39.27, 2.294, 87
33.40, 2.683, 85
37.58, 2.393, 77
37.22, 2.416, 74

Structure:
Unit cell a=8.1480 b=8.1480 c=5.5545 alpha=90.00 beta=90.00 gamma=118.17
Sites, in units of the cell vectors:
Ce: 0.2228 0.7772 0.7500
Ce: 0.7772 0.2228 0.2500
Cd: 0.0000 0.0000 0.0000
Cd: 0.0000 0.0000 0.5000
Cd: 0.0296 0.3440 0.7500
Cd: 0.3440 0.0296 0.2500
Cd: 0.6560 0.9704 0.7500
Cd: 0.9704 0.6560 0.2500
In: 0.4596 0.5404 0.7500
In: 0.5404 0.4596 0.2500

***

2.
Diffraction record for H2Pd2Se3. The powder XRD pattern is theoretical, not measured: it uses a DFT-relaxed cell (GGA-PBE, Alexandria) and Cu Kα (λ = 1.5418 Å).
Peak positions follow from Bragg's law for the DFT cell and can differ from measured ones.

Principal peaks in the range 2θ = 5–70°, most intense first:
2θ/deg, d_spacing, I/Imax
24.14, 3.686, 100
33.69, 2.660, 73
42.58, 2.123, 39
41.16, 2.193, 34
56.75, 1.622, 18
49.45, 1.843, 14

Structure:
Unit cell a=3.6134 b=5.5297 c=7.0359 alpha=75.13 beta=75.23 gamma=89.98
Sites, in units of the cell vectors:
H: 0.1088 0.3966 0.2819
H: 0.8912 0.6034 0.7181
Pd: 0.4031 0.1699 0.6953
Pd: 0.5969 0.8301 0.3047
Se: 0.0000 0.0000 0.5000
Se: 0.1809 0.6631 0.1357
Se: 0.8191 0.3369 0.8643

***

3.
Diffraction record for LaDy5Er7. The powder XRD pattern is theoretical, not measured: it uses a DFT-relaxed cell (GGA-PBE, Alexandria) and Cu Kα (λ = 1.5418 Å).
Peak positions follow from Bragg's law for the DFT cell and can differ from measured ones.

Principal peaks in the range 2θ = 5–70°, most intense first:
2θ/deg, d_spacing, I/Imax
31.02, 2.883, 100
35.11, 2.556, 80
31.76, 2.818, 78
31.36, 2.852, 56
57.85, 1.594, 31
35.96, 2.497, 31

Structure:
Unit cell a=8.6615 b=8.6615 c=8.6615 alpha=134.84 beta=100.46 gamma=96.51
Sites, in units of the cell vectors:
La: 0.0000 0.0000 0.0000
Dy: 0.0279 0.0320 0.4657
Dy: 0.0279 0.5622 0.9960
Dy: 0.3016 0.8016 0.5000
Dy: 0.5663 0.0320 0.0040
Dy: 0.5663 0.5622 0.5343
Er: 0.2174 0.5485 0.6689
Er: 0.3010 0.3010 0.0000
Er: 0.3806 0.0490 0.3315
Er: 0.6071 0.6071 0.0000
Er: 0.7175 0.0490 0.6685
Er: 0.7939 0.2939 0.5000
Er: 0.8796 0.5485 0.3311

***

4.
Diffraction record for NaH5CO4. The powder XRD pattern is theoretical, not measured: it uses a DFT-relaxed cell (GGA-PBE, Alexandria) and Cu Kα (λ = 1.5418 Å).
Peak positions follow from Bragg's law for the DFT cell and can differ from measured ones.

Principal peaks in the range 2θ = 5–70°, most intense first:
2θ/deg, d_spacing, I/Imax
29.43, 3.035, 100
27.56, 3.237, 94
24.38, 3.651, 73
33.19, 2.699, 62
40.86, 2.208, 60
20.36, 4.362, 55

Structure:
Unit cell a=8.1042 b=8.1042 c=8.7246 alpha=90.00 beta=90.00 gamma=126.99
Sites, in units of the cell vectors:
Na: 0.2352 0.2352 0.0000
Na: 0.2648 0.2648 0.5000
Na: 0.7352 0.7352 0.5000
Na: 0.7648 0.7648 0.0000
H: 0.0202 0.2874 0.7100
H: 0.0888 0.9112 0.7758
H: 0.1634 0.8366 0.9033
H: 0.2126 0.4798 0.7900
H: 0.2339 0.7661 0.6310
H: 0.2661 0.7339 0.1310
H: 0.2874 0.0202 0.2900
H: 0.3366 0.6634 0.4033
H: 0.4112 0.5888 0.2758
H: 0.4798 0.2126 0.2100
H: 0.5202 0.7874 0.7900
H: 0.5888 0.4112 0.7242
H: 0.6634 0.3366 0.5967
H: 0.7126 0.9798 0.7100
H: 0.7339 0.2661 0.8690
H: 0.7661 0.2339 0.3690
H: 0.7874 0.5202 0.2100
H: 0.8366 0.1634 0.0967
H: 0.9112 0.0888 0.2242
H: 0.9798 0.7126 0.2900
C: 0.1816 0.8184 0.5378
C: 0.3184 0.6816 0.0378
C: 0.6816 0.3184 0.9622
C: 0.8184 0.1816 0.4622
O: 0.0954 0.9046 0.8896
O: 0.0975 0.9025 0.5764
O: 0.1584 0.3416 0.7500
O: 0.2122 0.7878 0.4007
O: 0.2878 0.7122 0.9007
O: 0.3416 0.1584 0.2500
O: 0.4025 0.5975 0.0764
O: 0.4046 0.5954 0.3896
O: 0.5954 0.4046 0.6104
O: 0.5975 0.4025 0.9236
O: 0.6584 0.8416 0.7500
O: 0.7122 0.2878 0.0993
O: 0.7878 0.2122 0.5993
O: 0.8416 0.6584 0.2500
O: 0.9025 0.0975 0.4236
O: 0.9046 0.0954 0.1104

***

5.
Diffraction record for CrSe. The powder XRD pattern is theoretical, not measured: it uses a DFT-relaxed cell (GGA-PBE, Alexandria) and Cu Kα (λ = 1.5418 Å).
Peak positions follow from Bragg's law for the DFT cell and can differ from measured ones.

Principal peaks in the range 2θ = 5–70°, most intense first:
2θ/deg, d_spacing, I/Imax
29.79, 2.999, 100
39.38, 2.288, 51
38.16, 2.358, 30
47.82, 1.902, 20
50.87, 1.795, 18
41.06, 2.198, 15

Structure:
Unit cell a=6.3376 b=6.6111 c=7.9436 alpha=90.00 beta=90.00 gamma=90.00
Sites, in units of the cell vectors:
Cr: 0.0422 0.1849 0.3288
Cr: 0.0467 0.2949 0.9338
Cr: 0.4533 0.7051 0.4338
Cr: 0.4578 0.8151 0.8288
Cr: 0.5422 0.3151 0.6712
Cr: 0.5467 0.2051 0.0662
Cr: 0.9533 0.7949 0.5662
Cr: 0.9578 0.6849 0.1712
Se: 0.2184 0.9734 0.0567
Se: 0.2253 0.5456 0.7097
Se: 0.2747 0.4544 0.2097
Se: 0.2816 0.0266 0.5567
Se: 0.7184 0.5266 0.9433
Se: 0.7253 0.9544 0.2903
Se: 0.7747 0.0456 0.7903
Se: 0.7816 0.4734 0.4433

***

6.
Diffraction record for Ca3Ga2AgAu9. The powder XRD pattern is theoretical, not measured: it uses a DFT-relaxed cell (GGA-PBE, Alexandria) and Cu Kα (λ = 1.5418 Å).
Peak positions follow from Bragg's law for the DFT cell and can differ from measured ones.

Principal peaks in the range 2θ = 5–70°, most intense first:
2θ/deg, d_spacing, I/Imax
29.07, 3.071, 100
37.84, 2.377, 87
18.66, 4.755, 55
45.06, 2.012, 52
63.07, 1.474, 42
36.81, 2.441, 23

Structure:
Unit cell a=8.0471 b=8.0471 c=6.5035 alpha=90.00 beta=90.00 gamma=120.00
Sites, in units of the cell vectors:
Ca: 0.0000 0.0000 0.0000
Ca: 0.3333 0.6667 0.6662
Ca: 0.6667 0.3333 0.3338
Ga: 0.3333 0.6667 0.1497
Ga: 0.6667 0.3333 0.8503
Ag: 0.0000 0.0000 0.5000
Au: 0.0000 0.5000 0.0000
Au: 0.1745 0.3489 0.3375
Au: 0.1745 0.8255 0.3375
Au: 0.3489 0.1745 0.6625
Au: 0.5000 0.0000 0.0000
Au: 0.5000 0.5000 0.0000
Au: 0.6511 0.8255 0.3375
Au: 0.8255 0.1745 0.6625
Au: 0.8255 0.6511 0.6625

***

7.
Diffraction record for PrDy7Th2. The powder XRD pattern is theoretical, not measured: it uses a DFT-relaxed cell (GGA-PBE, Alexandria) and Cu Kα (λ = 1.5418 Å).
Peak positions follow from Bragg's law for the DFT cell and can differ from measured ones.

Principal peaks in the range 2θ = 5–70°, most intense first:
2θ/deg, d_spacing, I/Imax
32.79, 2.731, 100
31.97, 2.799, 28
32.13, 2.786, 28
57.60, 1.600, 20
59.00, 1.566, 17
45.83, 1.980, 10

Structure:
Unit cell a=8.4322 b=8.4322 c=5.5712 alpha=109.06 beta=109.06 gamma=84.55
Sites, in units of the cell vectors:
Pr: 0.0000 0.0000 0.0000
Dy: 0.1016 0.4032 0.2524
Dy: 0.3371 0.6629 0.0000
Dy: 0.4032 0.1016 0.2524
Dy: 0.5000 0.5000 0.5000
Dy: 0.5968 0.8984 0.7476
Dy: 0.6629 0.3371 0.0000
Dy: 0.8984 0.5968 0.7476
Th: 0.1570 0.8430 0.5000
Th: 0.8430 0.1570 0.5000

***

8.
Diffraction record for Pr2Zn5Pd. The powder XRD pattern is theoretical, not measured: it uses a DFT-relaxed cell (GGA-PBE, Alexandria) and Cu Kα (λ = 1.5418 Å).
Peak positions follow from Bragg's law for the DFT cell and can differ from measured ones.

Principal peaks in the range 2θ = 5–70°, most intense first:
2θ/deg, d_spacing, I/Imax
32.84, 2.727, 100
34.13, 2.627, 75
41.58, 2.172, 44
36.55, 2.458, 40
28.94, 3.086, 28
39.63, 2.274, 20

Structure:
Unit cell a=8.5243 b=8.5243 c=9.0957 alpha=90.00 beta=90.00 gamma=150.48
Sites, in units of the cell vectors:
Pr: 0.0000 0.0000 0.0000
Pr: 0.0000 0.0000 0.5000
Pr: 0.1926 0.8074 0.7500
Pr: 0.8074 0.1926 0.2500
Zn: 0.1890 0.8110 0.1094
Zn: 0.1890 0.8110 0.3906
Zn: 0.3481 0.6519 0.0189
Zn: 0.3481 0.6519 0.4811
Zn: 0.3977 0.6023 0.7500
Zn: 0.6023 0.3977 0.2500
Zn: 0.6519 0.3481 0.5189
Zn: 0.6519 0.3481 0.9811
Zn: 0.8110 0.1890 0.6094
Zn: 0.8110 0.1890 0.8906
Pd: 0.4461 0.5539 0.2500
Pd: 0.5539 0.4461 0.7500

***

Please write out number 4 again, unchanged.
Diffraction record for NaH5CO4. The powder XRD pattern is theoretical, not measured: it uses a DFT-relaxed cell (GGA-PBE, Alexandria) and Cu Kα (λ = 1.5418 Å).
Peak positions follow from Bragg's law for the DFT cell and can differ from measured ones.

Principal peaks in the range 2θ = 5–70°, most intense first:
2θ/deg, d_spacing, I/Imax
29.43, 3.035, 100
27.56, 3.237, 94
24.38, 3.651, 73
33.19, 2.699, 62
40.86, 2.208, 60
20.36, 4.362, 55

Structure:
Unit cell a=8.1042 b=8.1042 c=8.7246 alpha=90.00 beta=90.00 gamma=126.99
Sites, in units of the cell vectors:
Na: 0.2352 0.2352 0.0000
Na: 0.2648 0.2648 0.5000
Na: 0.7352 0.7352 0.5000
Na: 0.7648 0.7648 0.0000
H: 0.0202 0.2874 0.7100
H: 0.0888 0.9112 0.7758
H: 0.1634 0.8366 0.9033
H: 0.2126 0.4798 0.7900
H: 0.2339 0.7661 0.6310
H: 0.2661 0.7339 0.1310
H: 0.2874 0.0202 0.2900
H: 0.3366 0.6634 0.4033
H: 0.4112 0.5888 0.2758
H: 0.4798 0.2126 0.2100
H: 0.5202 0.7874 0.7900
H: 0.5888 0.4112 0.7242
H: 0.6634 0.3366 0.5967
H: 0.7126 0.9798 0.7100
H: 0.7339 0.2661 0.8690
H: 0.7661 0.2339 0.3690
H: 0.7874 0.5202 0.2100
H: 0.8366 0.1634 0.0967
H: 0.9112 0.0888 0.2242
H: 0.9798 0.7126 0.2900
C: 0.1816 0.8184 0.5378
C: 0.3184 0.6816 0.0378
C: 0.6816 0.3184 0.9622
C: 0.8184 0.1816 0.4622
O: 0.0954 0.9046 0.8896
O: 0.0975 0.9025 0.5764
O: 0.1584 0.3416 0.7500
O: 0.2122 0.7878 0.4007
O: 0.2878 0.7122 0.9007
O: 0.3416 0.1584 0.2500
O: 0.4025 0.5975 0.0764
O: 0.4046 0.5954 0.3896
O: 0.5954 0.4046 0.6104
O: 0.5975 0.4025 0.9236
O: 0.6584 0.8416 0.7500
O: 0.7122 0.2878 0.0993
O: 0.7878 0.2122 0.5993
O: 0.8416 0.6584 0.2500
O: 0.9025 0.0975 0.4236
O: 0.9046 0.0954 0.1104